# 1
Structure and computed powder diffractogram of Ce4YO9 (a DFT-relaxed cell (PBE, Alexandria); Cu Ka).

Main lines, low angle first (2θ from 15° to 90°):
2θ = 27.96°, intensity 100; 2θ = 28.44°, intensity 97; 2θ = 32.43°, intensity 19; 2θ = 32.80°, intensity 40; 2θ = 46.44°, intensity 17; 2θ = 46.80°, intensity 68; 2θ = 47.69°, intensity 17; 2θ = 55.16°, intensity 13; 2θ = 55.38°, intensity 41; 2θ = 56.19°, intensity 28

Cell and atoms:
```
Ce4YO9
1.0
-1.9070 9.7765 2.7606
1.9070 -9.7765 2.7606
1.9070 9.7765 -2.7606
Ce Y O
4 1 9
Cartesian
0.0000 2.0624 0.0000
0.0000 5.8866 0.0483
0.0000 13.6664 0.0483
0.0000 17.4906 0.0000
0.0000 9.7765 0.3281
1.9070 5.9382 -1.3495
1.9070 -1.6056 1.4134
1.9070 1.6056 1.4134
0.0000 3.8383 1.4111
1.9070 5.8191 1.4220
0.0000 7.7350 1.4422
0.0000 0.0000 4.2446
0.0000 11.8180 1.4422
0.0000 3.9574 4.1826
```

***

# 2
Structure and computed powder diffractogram of V3NiB (a DFT-relaxed cell (PBE, Alexandria); Cu Ka).

Main lines, low angle first (2θ from 15° to 90°):
2θ = 31.75°, intensity 3; 2θ = 39.15°, intensity 100; 2θ = 45.52°, intensity 54; 2θ = 56.57°, intensity 1; 2θ = 66.34°, intensity 31; 2θ = 79.82°, intensity 31; 2θ = 84.15°, intensity 10

Cell and atoms:
```
V3NiB
1.0
3.9853 0.0000 0.0000
0.0000 3.9853 0.0000
0.0000 0.0000 3.9853
V Ni B
3 1 1
Cartesian
0.0000 0.0000 1.9927
0.0000 1.9927 0.0000
1.9927 0.0000 0.0000
1.9927 1.9927 1.9927
0.0000 0.0000 0.0000
```

***

# 3
Structure and computed powder diffractogram of ZrAlBi2O6 (a DFT-relaxed cell (PBE, Alexandria); Cu Ka).

Main lines, low angle first (2θ from 15° to 90°):
2θ = 22.07°, intensity 62; 2θ = 22.83°, intensity 33; 2θ = 30.33°, intensity 50; 2θ = 31.64°, intensity 100; 2θ = 32.28°, intensity 97; 2θ = 32.46°, intensity 47; 2θ = 40.06°, intensity 30; 2θ = 45.02°, intensity 55; 2θ = 57.41°, intensity 29; 2θ = 57.97°, intensity 25

Cell and atoms:
```
ZrAlBi2O6
1.0
5.8966 0.0000 0.0000
0.0000 5.5158 0.0000
-5.6744 0.0000 7.7921
Zr Al Bi O
2 2 4 12
Cartesian
0.0000 0.0000 0.0000
-2.8372 2.7579 3.8960
0.1111 0.0000 3.8960
2.9483 2.7579 0.0000
-2.6760 0.0063 5.8578
0.1613 2.7516 1.9617
0.0609 2.7642 5.8303
2.8982 5.5095 1.9343
-0.4490 0.0045 2.0473
-3.2862 2.7534 5.9433
1.6139 4.1220 0.4560
-1.2233 4.1518 4.3520
-1.2192 1.3686 4.3523
1.6180 1.3893 0.4562
-1.3958 4.1265 7.3358
1.4414 4.1472 3.4398
1.4455 1.3641 3.4401
-1.3917 1.3939 7.3361
3.5084 2.7624 1.8487
0.6711 5.5113 5.7448
```